This entry pairs a crystal structure of Ba2NiPdO5 with its calculated powder X-ray diffraction pattern. Radiation: a wavelength of 1.5418 Å. Structure: the PBE+U geometry in Alexandria.
No peak broadening, texture or thermal motion is included.

Top 10 peaks for 10° ≤ 2θ ≤ 80°, by intensity:
| Position (°2θ) | I_rel | index |
| --- | --- | --- |
| 27.99 | 100 | 0 2 3 |
| 36.64 | 91 | 1 1 3 |
| 42.79 | 54 | 1 5 2 |
| 28.89 | 50 | 0 4 2 |
| 32.06 | 50 | 1 3 1 |
| 30.88 | 48 | 1 3 0 |
| 31.12 | 46 | 1 1 2 |
| 36.30 | 42 | 0 6 1 |
| 23.29 | 31 | 0 4 0 |
| 60.55 | 29 | 1 9 0 |

Structural model:
Cell lengths 3.5199, 15.2758, 10.5245 Å; angles 90.00, 90.00, 90.00 degrees
Space group Cmc2_1 (No. 36)
Inequivalent atoms, fractional coordinates:
Ba  0.0000  0.1148  0.0000
Ba  0.0000  0.1263  0.6161
Ni  0.0000  0.4347  0.7664
Pd  0.0000  0.2128  0.3268
O  0.0000  0.0754  0.3417
O  0.0000  0.2863  0.9453
O  0.0000  0.3051  0.7070
O  0.0000  0.3455  0.3119
O  0.0000  0.4950  0.6073